(1)
For CrTe3, a structure optimized by DFT (GGA-PBE) gives the calculated PXRD pattern in this record (Cu Kα (weighted mean of Kα1 and Kα2)).
Peak positions follow from Bragg's law for the DFT cell and can differ from measured ones.

Top 12 peaks for 2θ from 15° to 90°, sorted by position:
2θ = 24.52°, intensity 68, (2 0 0); 2θ = 26.33°, intensity 22, (1 3 0); 2θ = 29.82°, intensity 16, (1 2 2); 2θ = 30.24°, intensity 100, (0 2 3); 2θ = 30.49°, intensity 100, (2 2 -3); 2θ = 33.21°, intensity 16, (1 4 -1); 2θ = 40.05°, intensity 22, (2 4 0); 2θ = 45.07°, intensity 14, (4 1 -3); 2θ = 45.90°, intensity 29, (1 5 -3); 2θ = 46.70°, intensity 48, (2 0 -6); 2θ = 47.22°, intensity 17, (4 2 -3); 2θ = 57.63°, intensity 17, (1 7 0)

Atomic structure:
```
data_CrTe3
_cell_length_a 8.1939
_cell_length_b 11.4778
_cell_length_c 11.6732
_cell_angle_alpha 90.00
_cell_angle_beta 117.61
_cell_angle_gamma 90.00
_space_group_name_H-M_alt 'P 1 21/c 1'
_space_group_IT_number 14
_space_group_name_Hall '-P 2ybc'
loop_
_atom_site_label
_atom_site_type_symbol
_atom_site_fract_x
_atom_site_fract_y
_atom_site_fract_z
_atom_site_occupancy
Cr1 Cr 0.0021 0.0004 0.1744 1
Cr2 Cr 0.0218 0.2162 0.5073 1
Te1 Te 0.1972 0.6183 0.2299 1
Te2 Te 0.2007 0.6183 0.8998 1
Te3 Te 0.2080 0.5935 0.5671 1
Te4 Te 0.2520 0.1722 0.9305 1
Te5 Te 0.2525 0.1755 0.2353 1
Te6 Te 0.2971 0.0540 0.5974 1
```

---

(2)
For Cr7Te8, a structure optimized by DFT (GGA-PBE) gives the calculated PXRD pattern in this record (Cu Kα (weighted mean of Kα1 and Kα2)).
Peak positions follow from Bragg's law for the DFT cell and can differ from measured ones.

Top 12 peaks for 2θ from 15° to 90°, sorted by position:
2θ = 28.52°, intensity 17, (4 0 -2); 2θ = 28.94°, intensity 95, (2 0 1); 2θ = 29.07°, intensity 100, (2 2 -2); 2θ = 38.31°, intensity 45, (4 0 0); 2θ = 38.51°, intensity 48, (4 2 -3); 2θ = 44.38°, intensity 76, (0 2 3); 2θ = 50.70°, intensity 21, (6 2 -2); 2θ = 50.95°, intensity 18, (6 0 -5); 2θ = 53.80°, intensity 23, (2 4 1); 2θ = 53.97°, intensity 17, (2 0 -5); 2θ = 59.04°, intensity 10, (8 0 -4); 2θ = 81.70°, intensity 14, (0 0 6)

Atomic structure:
```
data_Cr7Te8
_cell_length_a 12.5172
_cell_length_b 8.1645
_cell_length_c 9.4084
_cell_angle_alpha 90.00
_cell_angle_beta 131.26
_cell_angle_gamma 90.00
_space_group_name_H-M_alt 'C 1 2/m 1'
_space_group_IT_number 12
_space_group_name_Hall '-C 2y'
loop_
_atom_site_label
_atom_site_type_symbol
_atom_site_fract_x
_atom_site_fract_y
_atom_site_fract_z
_atom_site_occupancy
Cr1 Cr 0.0000 0.0000 0.0000 1
Cr2 Cr 0.0000 0.2670 0.5000 1
Cr3 Cr 0.2364 0.5000 0.9901 1
Cr4 Cr 0.2500 0.2500 0.5000 1
Te1 Te 0.0354 0.0000 0.3320 1
Te2 Te 0.0479 0.5000 0.3340 1
Te3 Te 0.2141 0.2464 0.1689 1
```

---

(3)
For Ti4CrTe8, a structure optimized by DFT (GGA-PBE) gives the calculated PXRD pattern in this record (Cu Kα (weighted mean of Kα1 and Kα2)).
Peak positions follow from Bragg's law for the DFT cell and can differ from measured ones.

Top 12 peaks for 2θ from 15° to 90°, sorted by position:
2θ = 27.43°, intensity 27, (0 0 4); 2θ = 30.20°, intensity 100, (2 2 1); 2θ = 30.29°, intensity 77, (4 0 -4); 2θ = 38.63°, intensity 14, (4 0 2); 2θ = 38.73°, intensity 16, (2 2 3); 2θ = 38.86°, intensity 35, (2 2 -5); 2θ = 47.43°, intensity 33, (6 2 -3); 2θ = 47.54°, intensity 16, (0 4 0); 2θ = 50.22°, intensity 12, (2 2 5); 2θ = 50.38°, intensity 20, (2 2 -7); 2θ = 55.78°, intensity 15, (0 4 4); 2θ = 57.37°, intensity 22, (4 4 -4)

Atomic structure:
```
data_Ti4CrTe8
_cell_length_a 13.2915
_cell_length_b 7.6511
_cell_length_c 14.5700
_cell_angle_alpha 90.00
_cell_angle_beta 116.80
_cell_angle_gamma 90.00
_space_group_name_H-M_alt 'C 1 2/c 1'
_space_group_IT_number 15
_space_group_name_Hall '-C 2yc'
loop_
_atom_site_label
_atom_site_type_symbol
_atom_site_fract_x
_atom_site_fract_y
_atom_site_fract_z
_atom_site_occupancy
Ti1 Ti 0.1280 0.1170 0.0001 1
Ti2 Ti 0.1327 0.3673 0.5003 1
Cr1 Cr 0.0000 0.1290 0.7500 1
Te1 Te 0.0206 0.3775 0.6242 1
Te2 Te 0.0243 0.1289 0.1301 1
Te3 Te 0.2243 0.3749 0.3650 1
Te4 Te 0.2291 0.1254 0.8690 1
```

---

(4)
For Ti4CrTe8, a structure optimized by DFT (GGA-PBE) gives the calculated PXRD pattern in this record (Cu Kα (weighted mean of Kα1 and Kα2)).
Peak positions follow from Bragg's law for the DFT cell and can differ from measured ones.

Top 12 peaks for 2θ from 15° to 90°, sorted by position:
2θ = 27.03°, intensity 26, (4 0 -2); 2θ = 30.11°, intensity 100, (2 2 -2); 2θ = 30.17°, intensity 34, (2 0 1); 2θ = 30.30°, intensity 15, (2 0 -3); 2θ = 38.40°, intensity 30, (4 2 -1); 2θ = 38.50°, intensity 14, (4 2 -3); 2θ = 38.66°, intensity 11, (4 0 -4); 2θ = 47.27°, intensity 14, (0 4 0); 2θ = 47.54°, intensity 27, (0 2 3); 2θ = 49.64°, intensity 13, (6 2 -2); 2θ = 57.13°, intensity 16, (2 4 1); 2θ = 76.02°, intensity 13, (8 2 -1)

Atomic structure:
```
data_Ti4CrTe8
_cell_length_a 13.1941
_cell_length_b 7.6924
_cell_length_c 9.3154
_cell_angle_alpha 90.00
_cell_angle_beta 134.77
_cell_angle_gamma 90.00
_space_group_name_H-M_alt 'C 1 2/m 1'
_space_group_IT_number 12
_space_group_name_Hall '-C 2y'
loop_
_atom_site_label
_atom_site_type_symbol
_atom_site_fract_x
_atom_site_fract_y
_atom_site_fract_z
_atom_site_occupancy
Ti1 Ti 0.0000 0.2351 0.0000 1
Ti2 Ti 0.2483 0.0000 0.4910 1
Cr1 Cr 0.0000 0.5000 0.5000 1
Te1 Te 0.0437 0.5000 0.8372 1
Te2 Te 0.0482 0.0000 0.8316 1
Te3 Te 0.2049 0.2445 0.6693 1
```

---

(5)
For TiCr3Te4, a structure optimized by DFT (GGA-PBE) gives the calculated PXRD pattern in this record (Cu Kα (weighted mean of Kα1 and Kα2)).
Peak positions follow from Bragg's law for the DFT cell and can differ from measured ones.

Top 12 peaks for 2θ from 15° to 90°, sorted by position:
2θ = 28.62°, intensity 15, (4 0 0); 2θ = 28.72°, intensity 34, (0 0 2); 2θ = 28.87°, intensity 67, (1 1 1); 2θ = 29.01°, intensity 100, (3 1 -1); 2θ = 38.15°, intensity 19, (2 0 2); 2θ = 38.31°, intensity 33, (3 1 1); 2θ = 38.54°, intensity 54, (5 1 -1); 2θ = 44.08°, intensity 56, (3 1 -3); 2θ = 44.24°, intensity 28, (0 2 0); 2θ = 50.77°, intensity 15, (5 1 1); 2θ = 51.06°, intensity 20, (8 0 -2); 2θ = 53.59°, intensity 18, (0 2 2)

Atomic structure:
```
data_TiCr3Te4
_cell_length_a 14.2991
_cell_length_b 4.0943
_cell_length_c 7.1249
_cell_angle_alpha 90.00
_cell_angle_beta 119.26
_cell_angle_gamma 90.00
_space_group_name_H-M_alt 'C 1 2/m 1'
_space_group_IT_number 12
_space_group_name_Hall '-C 2y'
loop_
_atom_site_label
_atom_site_type_symbol
_atom_site_fract_x
_atom_site_fract_y
_atom_site_fract_z
_atom_site_occupancy
Ti1 Ti 0.0000 0.0000 0.0000 1
Cr1 Cr 0.0000 0.5000 0.5000 1
Cr2 Cr 0.2476 0.0000 0.2453 1
Te1 Te 0.1262 0.5000 0.2937 1
Te2 Te 0.1271 0.0000 0.7927 1
```

---

(6)
For TlCrTe2, a structure optimized by DFT (GGA-PBE) gives the calculated PXRD pattern in this record (Cu Kα (weighted mean of Kα1 and Kα2)).
Peak positions follow from Bragg's law for the DFT cell and can differ from measured ones.

Top 12 peaks for 2θ from 15° to 90°, sorted by position:
2θ = 24.95°, intensity 11, (1 0 0); 2θ = 27.38°, intensity 81, (0 1 1); 2θ = 33.74°, intensity 100, (1 0 2); 2θ = 43.94°, intensity 37, (1 1 0); 2θ = 52.55°, intensity 14, (2 0 1); 2θ = 52.66°, intensity 21, (0 1 4); 2θ = 56.53°, intensity 41, (0 2 2); 2θ = 64.04°, intensity 8, (1 0 5); 2θ = 70.88°, intensity 20, (2 0 4); 2θ = 74.23°, intensity 17, (2 1 2); 2θ = 87.32°, intensity 10, (1 2 4); 2θ = 87.44°, intensity 9, (1 1 6)

Atomic structure:
```
data_TlCrTe2
_cell_length_a 4.1214
_cell_length_b 4.1214
_cell_length_c 7.9601
_cell_angle_alpha 90.00
_cell_angle_beta 90.00
_cell_angle_gamma 120.00
_space_group_name_H-M_alt 'P -3 m 1'
_space_group_IT_number 164
_space_group_name_Hall '-P 3 2"'
loop_
_atom_site_label
_atom_site_type_symbol
_atom_site_fract_x
_atom_site_fract_y
_atom_site_fract_z
_atom_site_occupancy
Tl1 Tl 0.0000 0.0000 0.0000 1
Cr1 Cr 0.0000 0.0000 0.5000 1
Te1 Te 0.3333 0.6667 0.3201 1
```